Diffraction record for Be2CrB2. The powder diffraction line list is simulated, not measured: it uses a structure optimized by DFT (PBE) and Cu Kα (λ = 1.5418 Å).

Largest 10 diffraction maxima, sorted by position, 15° ≤ 2θ ≤ 90°:
hkl  Position (°2θ)  I (rel.)
1 1 0  21.3  68
2 0 0  29.8  37
1 1 1  30.0  100
0 2 1  37.5  35
0 0 2  42.6  24
3 1 0  48.1  40
2 2 1  48.6  48
1 3 0  49.4  39
2 0 2  52.8  25
3 1 1  53.0  47

Crystal structure
```
data_Be2CrB2
_chemical_formula_sum 'Be8 Cr4 B8'
_symmetry_space_group_name_H-M 'C m c m'
_symmetry_Int_Tables_number 63
_symmetry_space_group_name_Hall '-C 2c 2'
_cell_length_a 5.9961
_cell_length_b 5.8182
_cell_length_c 4.2466
_cell_angle_alpha 90.00
_cell_angle_beta 90.00
_cell_angle_gamma 90.00
loop_
_atom_site_label
_atom_site_type_symbol
_atom_site_fract_x
_atom_site_fract_y
_atom_site_fract_z
_atom_site_occupancy
Be1 Be 0.1783 0.0000 0.0000 1
Cr1 Cr 0.0000 0.3405 0.2500 1
B1 B 0.1414 0.2954 0.7500 1
```

***

Diffraction record for Be3Cr2B. The powder diffraction line list is simulated, not measured: it uses a structure optimized by DFT (PBE) and Cu Kα (λ = 1.5418 Å).

Largest 10 diffraction maxima, sorted by position, 15° ≤ 2θ ≤ 90°:
hkl  Position (°2θ)  I (rel.)
0 0 3  26.6  95
1 1 0  44.1  100
1 1 3  52.2  78
0 2 4  64.1  8
1 0 7  70.6  7
2 1 1  70.7  7
0 1 8  81.0  7
3 0 0  81.1  20
0 2 7  87.1  5
3 0 3  87.1  16

Crystal structure
```
data_Be3Cr2B
_chemical_formula_sum 'Be9 Cr6 B3'
_symmetry_space_group_name_H-M 'R -3 m'
_symmetry_Int_Tables_number 166
_symmetry_space_group_name_Hall '-R 3 2"'
_cell_length_a 4.1082
_cell_length_b 4.1082
_cell_length_c 10.0787
_cell_angle_alpha 90.00
_cell_angle_beta 90.00
_cell_angle_gamma 120.00
loop_
_atom_site_label
_atom_site_type_symbol
_atom_site_fract_x
_atom_site_fract_y
_atom_site_fract_z
_atom_site_occupancy
Be1 Be 0.0000 0.5000 0.0000 1
Cr1 Cr 0.0000 0.0000 0.1266 1
B1 B 0.0000 0.0000 0.5000 1
```

***

Diffraction record for Be2CrB2. The powder diffraction line list is simulated, not measured: it uses a structure optimized by DFT (PBE) and Cu Kα (λ = 1.5418 Å).

Largest 10 diffraction maxima, sorted by position, 15° ≤ 2θ ≤ 90°:
hkl  Position (°2θ)  I (rel.)
0 1 0  22.6  18
1 0 -1  22.9  100
0 1 1  29.6  28
1 1 0  31.4  37
1 0 1  33.6  22
0 0 2  38.2  25
0 1 2  44.8  17
2 0 -2  46.9  19
0 2 1  50.2  22
1 2 0  51.4  25

Crystal structure
```
data_Be2CrB2
_chemical_formula_sum 'Be4 Cr2 B4'
_symmetry_space_group_name_H-M 'P 1 2 1'
_symmetry_Int_Tables_number 3
_cell_length_a 4.4280
_cell_length_b 3.9374
_cell_length_c 5.0552
_cell_angle_alpha 90.00
_cell_angle_beta 111.12
_cell_angle_gamma 90.00
loop_
_symmetry_equiv_pos_as_xyz
'x,y,z'
'-x,y,-z'
loop_
_atom_site_label
_atom_site_type_symbol
_atom_site_fract_x
_atom_site_fract_y
_atom_site_fract_z
_atom_site_occupancy
Be1 Be 0.0000 0.0000 0.0000 1
Be2 Be 0.1259 0.4915 0.2142 1
Be3 Be 0.5000 0.1269 0.5000 1
Cr1 Cr 0.0000 0.9648 0.5000 1
Cr2 Cr 0.5000 0.2403 0.0000 1
B1 B 0.2144 0.4655 0.6081 1
B2 B 0.3071 0.7406 0.8837 1
```

***

Diffraction record for Be2CrB2. The powder diffraction line list is simulated, not measured: it uses a structure optimized by DFT (PBE) and Cu Kα (λ = 1.5418 Å).

Largest 10 diffraction maxima, sorted by position, 15° ≤ 2θ ≤ 90°:
hkl  Position (°2θ)  I (rel.)
0 1 1  25.9  100
0 0 2  29.7  25
1 0 1  33.0  49
1 1 0  36.5  44
0 2 0  43.0  14
1 1 2  47.7  60
0 1 3  50.4  22
0 2 2  53.2  20
1 0 3  54.8  19
1 2 1  55.3  33

Crystal structure
```
data_Be2CrB2
_chemical_formula_sum 'Be4 Cr2 B4'
_symmetry_space_group_name_H-M 'I m m 2'
_symmetry_Int_Tables_number 44
_cell_length_a 3.0431
_cell_length_b 4.2028
_cell_length_c 6.0179
_cell_angle_alpha 90.00
_cell_angle_beta 90.00
_cell_angle_gamma 90.00
loop_
_symmetry_equiv_pos_as_xyz
'x,y,z'
'-x,-y,z'
'-x,y,z'
'x,-y,z'
'x+1/2,y+1/2,z+1/2'
'-x+1/2,-y+1/2,z+1/2'
'-x+1/2,y+1/2,z+1/2'
'x+1/2,-y+1/2,z+1/2'
loop_
_atom_site_label
_atom_site_type_symbol
_atom_site_fract_x
_atom_site_fract_y
_atom_site_fract_z
_atom_site_occupancy
Be1 Be 0.0000 0.0000 0.0000 1
Be2 Be 0.0000 0.5000 0.2182 1
Cr1 Cr 0.0000 0.0000 0.4010 1
B1 B 0.0000 0.2869 0.7072 1
```

***

Diffraction record for Be2CrB2. The powder diffraction line list is simulated, not measured: it uses a structure optimized by DFT (PBE) and Cu Kα (λ = 1.5418 Å).

Largest 10 diffraction maxima, sorted by position, 15° ≤ 2θ ≤ 90°:
hkl  Position (°2θ)  I (rel.)
0 1 0  22.3  18
1 0 0  23.1  100
0 1 1  29.7  27
1 1 -1  31.1  39
1 0 -2  33.8  21
0 0 2  39.2  26
2 0 0  47.2  18
0 2 1  49.9  22
1 2 -1  50.8  29
1 2 1  60.3  18

Crystal structure
```
data_Be2CrB2
_chemical_formula_sum 'Be4 Cr2 B4'
_symmetry_space_group_name_H-M 'P 1 c 1'
_symmetry_Int_Tables_number 7
_cell_length_a 4.4666
_cell_length_b 3.9825
_cell_length_c 5.3251
_cell_angle_alpha 90.00
_cell_angle_beta 120.40
_cell_angle_gamma 90.00
loop_
_symmetry_equiv_pos_as_xyz
'x,y,z'
'x,-y,z+1/2'
loop_
_atom_site_label
_atom_site_type_symbol
_atom_site_fract_x
_atom_site_fract_y
_atom_site_fract_z
_atom_site_occupancy
Be1 Be 0.0000 0.0916 0.0000 1
Be2 Be 0.0951 0.3930 0.6934 1
Cr1 Cr 0.4964 0.1360 0.5050 1
B1 B 0.4283 0.3596 0.1224 1
B2 B 0.6183 0.3722 0.9125 1
```

***

Diffraction record for CsNa2Be6B5O15. The powder diffraction line list is simulated, not measured: it uses a structure optimized by DFT (PBE) and Cu Kα (λ = 1.5418 Å).

Largest 10 diffraction maxima, sorted by position, 15° ≤ 2θ ≤ 90°:
hkl  Position (°2θ)  I (rel.)
2 0 -2  18.7  34
1 1 1  23.1  100
1 1 -2  25.9  56
4 0 -2  27.7  56
3 1 0  28.1  86
3 1 -2  30.3  35
0 2 0  40.5  34
1 1 4  41.3  43
2 2 -1  42.9  38
1 1 -5  46.3  38

Crystal structure
```
data_CsNa2Be6B5O15
_chemical_formula_sum 'Cs2 Na4 Be12 B10 O30'
_symmetry_space_group_name_H-M 'C 1 2 1'
_symmetry_Int_Tables_number 5
_cell_length_a 13.9714
_cell_length_b 4.4591
_cell_length_c 10.9507
_cell_angle_alpha 90.00
_cell_angle_beta 103.26
_cell_angle_gamma 90.00
loop_
_symmetry_equiv_pos_as_xyz
'x,y,z'
'-x,y,-z'
'x+1/2,y+1/2,z'
'-x+1/2,y+1/2,-z'
loop_
_atom_site_label
_atom_site_type_symbol
_atom_site_fract_x
_atom_site_fract_y
_atom_site_fract_z
_atom_site_occupancy
Cs1 Cs 0.0000 0.0000 0.0000 1
Na1 Na 0.1874 0.5198 0.5424 1
Be1 Be 0.0115 0.5270 0.6347 1
Be2 Be 0.1414 0.0264 0.7024 1
Be3 Be 0.2426 0.5233 0.0778 1
B1 B 0.0000 0.0320 0.5000 1
B2 B 0.1615 0.5255 0.8361 1
B3 B 0.1666 0.5121 0.2756 1
O1 O 0.0000 0.7231 0.5000 1
O2 O 0.0523 0.1891 0.6021 1
O3 O 0.0897 0.5114 0.3331 1
O4 O 0.1086 0.6799 0.7321 1
O5 O 0.1552 0.5075 0.1478 1
O6 O 0.1636 0.2166 0.8347 1
O7 O 0.2115 0.6819 0.9395 1
O8 O 0.2377 0.0178 0.6428 1
```

***

Diffraction record for DyBe4B4. The powder diffraction line list is simulated, not measured: it uses a structure optimized by DFT (PBE) and Cu Kα (λ = 1.5418 Å).

Largest 10 diffraction maxima, sorted by position, 15° ≤ 2θ ≤ 90°:
hkl  Position (°2θ)  I (rel.)
1 0 1  22.4  100
1 1 0  25.9  36
0 0 2  26.2  16
2 0 0  36.9  19
1 1 2  37.1  38
2 1 1  43.6  51
1 0 3  44.0  26
2 0 2  45.8  18
2 1 3  58.7  14
3 1 2  66.7  12

Crystal structure
```
data_DyBe4B4
_chemical_formula_sum 'Dy2 Be8 B8'
_symmetry_space_group_name_H-M 'P 42/n m c'
_symmetry_Int_Tables_number 137
_cell_length_a 4.8697
_cell_length_b 4.8697
_cell_length_c 6.8123
_cell_angle_alpha 90.00
_cell_angle_beta 90.00
_cell_angle_gamma 90.00
loop_
_symmetry_equiv_pos_as_xyz
'x,y,z'
'-x,-y,-z'
'-y+1/2,x,z+1/2'
'y+1/2,-x,-z+1/2'
'-x+1/2,-y+1/2,z'
'x+1/2,y+1/2,-z'
'y,-x+1/2,z+1/2'
'-y,x+1/2,-z+1/2'
'x+1/2,-y,-z'
'-x+1/2,y,z'
'-y,-x,-z+1/2'
'y,x,z+1/2'
'-x,y+1/2,-z'
'x,-y+1/2,z'
'y+1/2,x+1/2,-z+1/2'
'-y+1/2,-x+1/2,z+1/2'
loop_
_atom_site_label
_atom_site_type_symbol
_atom_site_fract_x
_atom_site_fract_y
_atom_site_fract_z
_atom_site_occupancy
Dy1 Dy 0.2500 0.7500 0.2500 1
Be1 Be 0.0209 0.7500 0.6209 1
B1 B 0.0829 0.2500 0.0793 1
```

***

Diffraction record for ErBe2B6. The powder diffraction line list is simulated, not measured: it uses a structure optimized by DFT (PBE) and Cu Kα (λ = 1.5418 Å).

Largest 10 diffraction maxima, sorted by position, 15° ≤ 2θ ≤ 90°:
hkl  Position (°2θ)  I (rel.)
0 1 1  18.0  100
0 0 2  22.1  34
0 2 0  28.5  16
1 0 1  31.3  27
1 1 0  32.6  31
0 2 2  36.4  29
0 1 3  36.5  24
1 1 2  39.7  42
1 2 1  42.8  37
1 1 4  56.8  16

Crystal structure
```
data_ErBe2B6
_chemical_formula_sum 'Er2 Be4 B12'
_symmetry_space_group_name_H-M 'I m m m'
_symmetry_Int_Tables_number 71
_symmetry_space_group_name_Hall '-I 2 2'
_cell_length_a 3.0581
_cell_length_b 6.2668
_cell_length_c 8.0296
_cell_angle_alpha 90.00
_cell_angle_beta 90.00
_cell_angle_gamma 90.00
loop_
_atom_site_label
_atom_site_type_symbol
_atom_site_fract_x
_atom_site_fract_y
_atom_site_fract_z
_atom_site_occupancy
Er1 Er 0.0000 0.0000 0.0000 1
Be1 Be 0.0000 0.5000 0.1484 1
B1 B 0.0000 0.1397 0.5000 1
B2 B 0.0000 0.2424 0.3011 1
```

***

Diffraction record for ErBe2BIr. The powder diffraction line list is simulated, not measured: it uses a structure optimized by DFT (PBE) and Cu Kα (λ = 1.5418 Å).

Largest 10 diffraction maxima, sorted by position, 15° ≤ 2θ ≤ 90°:
hkl  Position (°2θ)  I (rel.)
0 1 1  26.1  63
1 0 1  26.7  66
0 0 4  36.6  29
0 1 3  36.9  36
1 0 3  37.4  24
1 1 2  39.9  100
0 2 0  50.0  14
1 0 5  53.3  14
1 2 1  57.6  16
1 1 6  68.1  20

Crystal structure
```
data_ErBe2BIr
_chemical_formula_sum 'Er2 Be4 B2 Ir2'
_symmetry_space_group_name_H-M 'I m m 2'
_symmetry_Int_Tables_number 44
_cell_length_a 3.5426
_cell_length_b 3.6454
_cell_length_c 9.8290
_cell_angle_alpha 90.00
_cell_angle_beta 90.00
_cell_angle_gamma 90.00
loop_
_symmetry_equiv_pos_as_xyz
'x,y,z'
'-x,-y,z'
'-x,y,z'
'x,-y,z'
'x+1/2,y+1/2,z+1/2'
'-x+1/2,-y+1/2,z+1/2'
'-x+1/2,y+1/2,z+1/2'
'x+1/2,-y+1/2,z+1/2'
loop_
_atom_site_label
_atom_site_type_symbol
_atom_site_fract_x
_atom_site_fract_y
_atom_site_fract_z
_atom_site_occupancy
Er1 Er 0.0000 0.0000 0.0000 1
Be1 Be 0.0000 0.0000 0.6198 1
Be2 Be 0.0000 0.5000 0.2662 1
B1 B 0.0000 0.0000 0.3874 1
Ir1 Ir 0.0000 0.5000 0.7606 1
```

***

Diffraction record for Er2BeBPt6. The powder diffraction line list is simulated, not measured: it uses a structure optimized by DFT (PBE) and Cu Kα (λ = 1.5418 Å).

Largest 10 diffraction maxima, sorted by position, 15° ≤ 2θ ≤ 90°:
hkl  Position (°2θ)  I (rel.)
1 1 2  28.4  8
0 0 4  35.2  19
2 0 2  36.4  100
1 1 4  42.1  11
2 2 0  45.4  31
2 2 4  58.7  18
2 0 6  63.9  8
4 0 0  66.1  10
4 0 4  77.2  8
4 2 2  77.9  22

Crystal structure
```
data_Er2BeBPt6
_chemical_formula_sum 'Er4 Be2 B2 Pt12'
_symmetry_space_group_name_H-M 'I 4 m m'
_symmetry_Int_Tables_number 107
_symmetry_space_group_name_Hall 'I 4 -2'
_cell_length_a 5.6506
_cell_length_b 5.6506
_cell_length_c 10.1935
_cell_angle_alpha 90.00
_cell_angle_beta 90.00
_cell_angle_gamma 90.00
loop_
_atom_site_label
_atom_site_type_symbol
_atom_site_fract_x
_atom_site_fract_y
_atom_site_fract_z
_atom_site_occupancy
Er1 Er 0.0000 0.5000 0.0000 1
Be1 Be 0.0000 0.0000 0.1378 1
B1 B 0.0000 0.0000 0.6362 1
Pt1 Pt 0.0000 0.0000 0.4330 1
Pt2 Pt 0.0000 0.0000 0.9291 1
Pt3 Pt 0.2468 0.2468 0.7370 1
```